Structure and computed powder diffraction line list of HoMo5 (DFT lattice parameters and positions (PBE); Cu Kα (weighted mean of Kα1 and Kα2)).

Crystal structure
```
data_HoMo5
_cell_length_a 4.689
_cell_length_b 13.693
_cell_length_c 3.213
_cell_angle_alpha 90.00
_cell_angle_beta 90.00
_cell_angle_gamma 90.00
_space_group_name_H-M_alt 'C m m m'
_space_group_IT_number 65
_space_group_name_Hall '-C 2 2'
loop_
_atom_site_label
_atom_site_fract_x
_atom_site_fract_y
_atom_site_fract_z
_atom_site_occupancy
Ho1 0.000 0.000 0.000 1
Mo1 0.000 0.177 0.500 1
Mo2 0.000 0.331 0.000 1
Mo3 0.000 0.500 0.500 1
```

Peak list (8 most intense, 2θ = 10–90°, low angle first)
2θ/deg, d/Å, Rel. int., (hkl)
38.4, 2.344, 27, 2 0 0
39.3, 2.292, 100, 1 3 1
39.5, 2.282, 24, 0 6 0
56.3, 1.635, 16, 2 6 0
70.0, 1.343, 18, 3 3 1
71.1, 1.325, 9, 2 0 2
71.5, 1.320, 15, 1 9 1
84.5, 1.146, 11, 2 6 2